YZn13: theoretical X-ray diffraction stick pattern (Cu Ka), based on a crystal structure in OQMD, relaxed with GGA-PBE.

Cell and atoms:
```
data_YZn13
_cell_length_a 11.715
_cell_length_b 7.159
_cell_length_c 5.595
_cell_angle_alpha 90.00
_cell_angle_beta 98.10
_cell_angle_gamma 90.00
_symmetry_space_group_name_H-M 'C 1 2/m 1'
_symmetry_Int_Tables_number 12
_symmetry_space_group_name_Hall '-C 2y'
loop_
_atom_site_label
_atom_site_fract_x
_atom_site_fract_y
_atom_site_fract_z
Y1 0.000 0.000 0.000
Zn1 0.000 0.000 0.500
Zn2 0.063 0.500 0.276
Zn3 0.125 0.319 0.799
Zn4 0.171 0.186 0.340
Zn5 0.229 0.000 0.825
```

Largest 10 diffraction maxima, in order of falling intensity, 2θ from 10° to 90°:
(1 3 1), 42.41 deg, 2.131 Å, intensity 100; (4 2 -1), 41.55 deg, 2.173 Å, intensity 59; (4 2 0), 40.02 deg, 2.253 Å, intensity 56; (1 1 2), 36.62 deg, 2.454 Å, intensity 50; (2 0 2), 37.92 deg, 2.372 Å, intensity 47; (5 1 0), 40.89 deg, 2.207 Å, intensity 37; (3 1 -2), 39.32 deg, 2.291 Å, intensity 37; (4 0 -2), 41.81 deg, 2.160 Å, intensity 31; (0 0 2), 32.33 deg, 2.769 Å, intensity 28; (2 2 0), 29.32 deg, 3.046 Å, intensity 23

Y2Zn17: theoretical X-ray diffraction stick pattern (Cu Ka), based on a crystal structure in OQMD, relaxed with GGA-PBE.

Cell and atoms:
```
data_Y2Zn17
_cell_length_a 8.9460
_cell_length_b 8.9460
_cell_length_c 8.7246
_cell_angle_alpha 90.00
_cell_angle_beta 90.00
_cell_angle_gamma 120.00
_symmetry_space_group_name_H-M 'P 63/m m c'
_symmetry_Int_Tables_number 194
_symmetry_space_group_name_Hall '-P 6c 2c'
loop_
_atom_site_label
_atom_site_fract_x
_atom_site_fract_y
_atom_site_fract_z
Y1 0.0000 0.0000 0.2500
Y2 0.3333 0.6667 0.2500
Zn1 0.0000 0.5000 0.0000
Zn2 0.0389 0.3677 0.7500
Zn3 0.1617 0.3234 0.0221
Zn4 0.3333 0.6667 0.6010
```

Largest 10 diffraction maxima, in order of falling intensity, 2θ from 10° to 90°:
(3 0 2), 40.60 deg, 2.222 Å, intensity 100; (2 2 2), 45.58 deg, 1.990 Å, intensity 62; (2 2 0), 40.33 deg, 2.236 Å, intensity 61; (2 0 3), 38.72 deg, 2.326 Å, intensity 43; (0 0 4), 41.40 deg, 2.181 Å, intensity 36; (3 0 0), 34.74 deg, 2.582 Å, intensity 34; (6 0 0), 73.32 deg, 1.291 Å, intensity 21; (3 0 6), 74.95 deg, 1.267 Å, intensity 20; (3 3 2), 66.24 deg, 1.411 Å, intensity 15; (1 1 4), 46.31 deg, 1.960 Å, intensity 15

Y3Zr4: theoretical X-ray diffraction stick pattern (Cu Ka), based on a crystal structure in OQMD, relaxed with GGA-PBE.

Cell and atoms:
```
data_Y3Zr4
_cell_length_a 8.9585
_cell_length_b 8.9585
_cell_length_c 5.3681
_cell_angle_alpha 90.00
_cell_angle_beta 90.00
_cell_angle_gamma 120.00
_symmetry_space_group_name_H-M 'P 63/m'
_symmetry_Int_Tables_number 176
_symmetry_space_group_name_Hall '-P 6c'
loop_
_atom_site_label
_atom_site_fract_x
_atom_site_fract_y
_atom_site_fract_z
Y1 0.0938 0.4634 0.2500
Zr1 0.0503 0.2247 0.7500
Zr2 0.3333 0.6667 0.7500
```

Largest 10 diffraction maxima, in order of falling intensity, 2θ from 10° to 90°:
(2 1 1), 34.86 deg, 2.573 Å, intensity 100; (0 0 2), 33.38 deg, 2.684 Å, intensity 26; (2 1 0), 30.48 deg, 2.932 Å, intensity 24; (1 4 2), 65.15 deg, 1.432 Å, intensity 19; (2 1 3), 60.63 deg, 1.527 Å, intensity 19; (1 4 0), 54.18 deg, 1.693 Å, intensity 17; (2 1 2), 45.83 deg, 1.980 Å, intensity 15; (4 2 1), 66.06 deg, 1.414 Å, intensity 14; (4 2 3), 85.65 deg, 1.134 Å, intensity 7; (4 2 2), 73.62 deg, 1.287 Å, intensity 4

YZr3: theoretical X-ray diffraction stick pattern (Cu Ka), based on a crystal structure in OQMD, relaxed with GGA-PBE.

Cell and atoms:
```
data_YZr3
_cell_length_a 5.235
_cell_length_b 6.635
_cell_length_c 5.775
_cell_angle_alpha 90.00
_cell_angle_beta 90.00
_cell_angle_gamma 90.00
_symmetry_space_group_name_H-M 'P m m n'
_symmetry_Int_Tables_number 59
loop_
_symmetry_equiv_pos_as_xyz
'x,y,z'
'-x,-y,-z'
'-x+1/2,-y+1/2,z'
'x+1/2,y+1/2,-z'
'x+1/2,-y,-z'
'-x+1/2,y,z'
'-x,y+1/2,-z'
'x,-y+1/2,z'
loop_
_atom_site_label
_atom_site_fract_x
_atom_site_fract_y
_atom_site_fract_z
Y1 0.250 0.250 0.158
Zr1 0.250 0.005 0.660
Zr2 0.250 0.750 0.189
```

Largest 10 diffraction maxima, in order of falling intensity, 2θ from 10° to 90°:
(1 2 1), 35.61 deg, 2.521 Å, intensity 100; (1 0 2), 35.51 deg, 2.528 Å, intensity 50; (2 0 0), 34.26 deg, 2.617 Å, intensity 37; (3 2 1), 62.20 deg, 1.492 Å, intensity 28; (0 2 1), 31.09 deg, 2.877 Å, intensity 24; (2 2 1), 46.91 deg, 1.937 Å, intensity 22; (2 2 3), 66.57 deg, 1.405 Å, intensity 19; (0 2 3), 55.17 deg, 1.665 Å, intensity 18; (1 4 2), 67.54 deg, 1.387 Å, intensity 14; (0 0 2), 30.97 deg, 2.887 Å, intensity 12

Y3Zr4: theoretical X-ray diffraction stick pattern (Cu Ka), based on a crystal structure in OQMD, relaxed with GGA-PBE.

Cell and atoms:
```
data_Y3Zr4
_cell_length_a 8.9939
_cell_length_b 8.9939
_cell_length_c 5.3233
_cell_angle_alpha 90.00
_cell_angle_beta 90.00
_cell_angle_gamma 120.00
_symmetry_space_group_name_H-M 'P 63/m'
_symmetry_Int_Tables_number 176
_symmetry_space_group_name_Hall '-P 6c'
loop_
_atom_site_label
_atom_site_fract_x
_atom_site_fract_y
_atom_site_fract_z
Y1 0.0557 0.2549 0.2500
Zr1 0.1064 0.4976 0.7500
Zr2 0.3333 0.6667 0.2500
```

Largest 10 diffraction maxima, in order of falling intensity, 2θ from 10° to 90°:
(2 1 1), 34.82 deg, 2.576 Å, intensity 100; (0 0 2), 33.67 deg, 2.662 Å, intensity 25; (2 1 0), 30.36 deg, 2.944 Å, intensity 24; (2 1 3), 60.97 deg, 1.520 Å, intensity 19; (1 4 2), 65.12 deg, 1.433 Å, intensity 19; (1 4 0), 53.95 deg, 1.700 Å, intensity 17; (2 1 2), 45.97 deg, 1.974 Å, intensity 15; (4 2 1), 65.83 deg, 1.419 Å, intensity 13; (4 2 3), 85.76 deg, 1.133 Å, intensity 7; (4 2 2), 73.52 deg, 1.288 Å, intensity 3

Zr5Zn39: theoretical X-ray diffraction stick pattern (Cu Ka), based on a crystal structure in OQMD, relaxed with GGA-PBE.

Cell and atoms:
```
data_Zr5Zn39
_cell_length_a 17.790
_cell_length_b 8.557
_cell_length_c 12.482
_cell_angle_alpha 90.00
_cell_angle_beta 134.38
_cell_angle_gamma 90.00
_symmetry_space_group_name_H-M 'C 1 2/m 1'
_symmetry_Int_Tables_number 12
_symmetry_space_group_name_Hall '-C 2y'
loop_
_atom_site_label
_atom_site_fract_x
_atom_site_fract_y
_atom_site_fract_z
Zr1 0.000 0.000 0.000
Zr2 0.073 0.500 0.791
Zr3 0.228 0.000 0.652
Zn1 0.000 0.000 0.500
Zn2 0.057 0.153 0.838
Zn3 0.072 0.340 0.199
Zn4 0.075 0.238 0.443
Zn5 0.096 0.500 0.579
Zn6 0.121 0.000 0.340
Zn7 0.122 0.343 0.049
Zn8 0.128 0.234 0.703
Zn9 0.155 0.500 0.440
Zn10 0.215 0.000 0.092
Zn11 0.216 0.155 0.271
Zn12 0.220 0.000 0.877
Zn13 0.250 0.250 0.000
Zn14 0.250 0.250 0.500
```

Largest 10 diffraction maxima, in order of falling intensity, 2θ from 10° to 90°:
(5 3 -4), 43.55 deg, 2.078 Å, intensity 100; (2 2 -4), 38.38 deg, 2.345 Å, intensity 96; (3 3 1), 43.21 deg, 2.094 Å, intensity 75; (6 2 -2), 38.14 deg, 2.360 Å, intensity 62; (2 0 -5), 41.95 deg, 2.153 Å, intensity 61; (8 0 -3), 41.68 deg, 2.167 Å, intensity 41; (3 3 -1), 35.23 deg, 2.548 Å, intensity 39; (4 2 -5), 42.51 deg, 2.127 Å, intensity 38; (5 1 0), 36.87 deg, 2.438 Å, intensity 36; (3 1 2), 39.65 deg, 2.273 Å, intensity 35